Mn2SbAu: theoretical XRD peak list (Cu Kα), based on a structure optimized by DFT (GGA-PBE).
Peak positions follow from Bragg's law for the DFT cell and can differ from measured ones.

Crystal structure
```
data_Mn2SbAu
_space_group_name_H-M_alt 'P 1'
_space_group_IT_number 1
_cell_length_a 3.486
_cell_length_b 3.550
_cell_length_c 5.729
_cell_angle_alpha 90.00
_cell_angle_beta 90.00
_cell_angle_gamma 90.00
loop_
_space_group_symop_operation_xyz
'x,y,z'
loop_
_atom_site_label
_atom_site_type_symbol
_atom_site_fract_x
_atom_site_fract_y
_atom_site_fract_z
Mn1 Mn 0.000 0.000 0.248
Mn2 Mn 0.000 0.000 0.752
Sb1 Sb 0.500 0.500 0.500
Au1 Au 0.500 0.500 0.000
```

Most intense lines, 5° ≤ 2θ ≤ 70°, by angle:
25.09°, I = 28.4, hkl 0 1 0
25.56°, I = 27.2, hkl 1 0 0
36.11°, I = 100.0, hkl 1 1 0
40.46°, I = 72.7, hkl 0 1 2
40.77°, I = 71.1, hkl 1 0 2
48.47°, I = 20.8, hkl 1 1 2
51.49°, I = 17.8, hkl 0 2 0
52.51°, I = 16.8, hkl 2 0 0
67.66°, I = 30.8, hkl 1 2 2
68.31°, I = 29.9, hkl 2 1 2